(1)
The following is a theoretical powder XRD pattern of U2MnCoSe6. It was derived from DFT lattice parameters and positions (GGA-PBE), using a wavelength of 1.5418 Å.
Lines closer than 0.1° are merged.

Largest 12 diffraction maxima, low angle first, 2θ from 10° to 80°:
15.25°, I 71.4; 24.36°, I 46.9; 24.69°, I 56.7; 25.97°, I 78.8; 33.96°, I 100.0; 34.14°, I 92.7; 37.85°, I 98.8; 37.99°, I 49.0; 38.23°, I 50.1; 38.74°, I 55.3; 46.67°, I 67.0; 60.42°, I 35.7

Cell and atoms:
Cell: 6.1269 6.1269 9.2983 Å, 90.73 90.73 37.04°
Sites, in units of the cell vectors:
1 U 0.2335 0.2335 0.2450
2 U 0.7665 0.7665 0.7550
3 Mn 0.0000 0.0000 0.5000
4 Co 0.0000 0.0000 0.0000
5 Se 0.0848 0.0848 0.7604
6 Se 0.3552 0.3552 0.5548
7 Se 0.3651 0.3651 0.9536
8 Se 0.6349 0.6349 0.0464
9 Se 0.6448 0.6448 0.4452
10 Se 0.9152 0.9152 0.2396

(2)
The following is a theoretical powder XRD pattern of MnCo2Si. It was derived from DFT lattice parameters and positions (GGA-PBE), using a wavelength of 1.5418 Å.
Lines closer than 0.1° are merged.

Largest 8 diffraction maxima, low angle first, 2θ from 10° to 80°:
27.44°, I 4.8; 31.79°, I 5.1; 45.58°, I 100.0; 54.03°, I 1.9; 56.64°, I 1.2; 66.43°, I 14.8; 73.30°, I 0.6; 75.53°, I 1.3

Cell and atoms:
Cell: 3.9806 3.9806 3.9806 Å, 60.00 60.00 60.00°
Sites, in units of the cell vectors:
1 Mn 0.0000 0.0000 0.0000
2 Co 0.2500 0.2500 0.2500
3 Co 0.7500 0.7500 0.7500
4 Si 0.5000 0.5000 0.5000

(3)
The following is a theoretical powder XRD pattern of MnCo2Si. It was derived from DFT lattice parameters and positions (GGA-PBE), using a wavelength of 1.5418 Å.
Lines closer than 0.1° are merged.

Largest 12 diffraction maxima, low angle first, 2θ from 10° to 80°:
15.88°, I 1.8; 31.41°, I 5.4; 32.07°, I 2.2; 35.38°, I 7.9; 45.02°, I 52.9; 45.51°, I 100.0; 48.96°, I 1.9; 56.34°, I 1.7; 65.56°, I 15.8; 67.08°, I 6.7; 68.69°, I 2.4; 76.76°, I 1.2

Cell and atoms:
Cell: 2.8480 2.8480 5.5811 Å, 90.00 90.00 90.00°
Sites, in units of the cell vectors:
1 Mn 0.0000 0.0000 0.0000
2 Co 0.5000 0.5000 0.2658
3 Co 0.5000 0.5000 0.7342
4 Si 0.0000 0.0000 0.5000

(4)
The following is a theoretical powder XRD pattern of SmMn4Co8. It was derived from DFT lattice parameters and positions (GGA-PBE), using a wavelength of 1.5418 Å.
Lines closer than 0.1° are merged.

Largest 12 diffraction maxima, low angle first, 2θ from 10° to 80°:
30.80°, I 37.6; 33.65°, I 14.6; 37.63°, I 44.1; 39.54°, I 18.5; 42.96°, I 61.2; 43.54°, I 100.0; 45.24°, I 62.9; 50.42°, I 24.8; 70.44°, I 12.1; 74.50°, I 18.7; 78.40°, I 12.9; 79.13°, I 21.0

Cell and atoms:
Cell: 6.3762 6.3762 6.3762 Å, 97.34 97.34 138.11°
Sites, in units of the cell vectors:
1 Sm 0.0000 0.0000 0.0000
2 Mn 0.0000 0.0000 0.5000
3 Mn 0.0000 0.5000 0.0000
4 Mn 0.5000 0.0000 0.0000
5 Mn 0.5000 0.5000 0.5000
6 Co 0.0000 0.3595 0.3595
7 Co 0.0000 0.6405 0.6405
8 Co 0.2698 0.5000 0.7698
9 Co 0.3595 0.0000 0.3595
10 Co 0.5000 0.2698 0.7698
11 Co 0.5000 0.7302 0.2302
12 Co 0.6405 0.0000 0.6405
13 Co 0.7302 0.5000 0.2302

(5)
The following is a theoretical powder XRD pattern of SmMn5Co7. It was derived from DFT lattice parameters and positions (GGA-PBE), using a wavelength of 1.5418 Å.
Lines closer than 0.1° are merged.

Largest 12 diffraction maxima, low angle first, 2θ from 10° to 80°:
30.82°, I 36.0; 33.86°, I 14.7; 37.73°, I 46.5; 39.25°, I 18.8; 43.23°, I 59.9; 43.69°, I 100.0; 45.04°, I 65.0; 48.65°, I 10.9; 49.06°, I 11.1; 50.30°, I 24.8; 74.22°, I 19.1; 79.62°, I 20.8

Cell and atoms:
Cell: 6.3484 6.3484 6.3484 Å, 137.60 97.49 97.53°
Sites, in units of the cell vectors:
1 Sm 0.0000 0.0000 0.0000
2 Mn 0.4971 0.5008 0.5016
3 Mn 0.4971 0.9955 0.9963
4 Mn 0.7697 0.2697 0.5000
5 Mn 0.9992 0.5008 0.0037
6 Mn 0.9992 0.9955 0.4984
7 Co 0.2241 0.7241 0.5000
8 Co 0.2268 0.4962 0.7305
9 Co 0.3557 0.3557 0.0000
10 Co 0.3587 0.9998 0.3589
11 Co 0.6380 0.6380 0.0000
12 Co 0.6409 0.9998 0.6411
13 Co 0.7657 0.4962 0.2695

(6)
The following is a theoretical powder XRD pattern of Mn2CoSn. It was derived from DFT lattice parameters and positions (GGA-PBE), using a wavelength of 1.5418 Å.
Lines closer than 0.1° are merged.

Largest 9 diffraction maxima, low angle first, 2θ from 10° to 80°:
25.11°, I 11.8; 29.08°, I 5.1; 41.59°, I 100.0; 49.20°, I 6.8; 51.55°, I 1.6; 60.28°, I 16.0; 66.34°, I 3.1; 68.30°, I 2.4; 75.89°, I 32.0

Cell and atoms:
Cell: 4.3429 4.3429 4.3429 Å, 60.00 60.00 60.00°
Sites, in units of the cell vectors:
1 Mn 0.0000 0.0000 0.0000
2 Mn 0.2500 0.2500 0.2500
3 Co 0.5000 0.5000 0.5000
4 Sn 0.7500 0.7500 0.7500

(7)
The following is a theoretical powder XRD pattern of MnCoSn4. It was derived from DFT lattice parameters and positions (GGA-PBE), using a wavelength of 1.5418 Å.
Lines closer than 0.1° are merged.

Largest 12 diffraction maxima, low angle first, 2θ from 10° to 80°:
33.05°, I 14.2; 34.77°, I 100.0; 38.47°, I 17.0; 38.83°, I 6.9; 43.31°, I 24.1; 43.64°, I 26.6; 59.82°, I 5.7; 60.15°, I 21.4; 60.67°, I 18.5; 66.66°, I 8.4; 69.34°, I 4.6; 70.07°, I 17.9

Cell and atoms:
Cell: 5.3719 5.3719 5.3719 Å, 104.75 104.75 119.40°
Sites, in units of the cell vectors:
1 Mn 0.0000 0.0000 0.0000
2 Co 0.5000 0.5000 0.0000
3 Sn 0.0860 0.5860 0.1720
4 Sn 0.4140 0.9140 0.8280
5 Sn 0.5860 0.4140 0.5000
6 Sn 0.9140 0.0860 0.5000

(8)
The following is a theoretical powder XRD pattern of MnCoTe. It was derived from DFT lattice parameters and positions (GGA-PBE), using a wavelength of 1.5418 Å.
Lines closer than 0.1° are merged.

Largest 8 diffraction maxima, low angle first, 2θ from 10° to 80°:
26.32°, I 38.3; 30.49°, I 32.4; 43.66°, I 100.0; 51.70°, I 17.9; 54.18°, I 8.4; 63.45°, I 15.6; 69.93°, I 7.2; 72.02°, I 10.6

Cell and atoms:
Cell: 4.1465 4.1465 4.1465 Å, 60.00 60.00 60.00°
Sites, in units of the cell vectors:
1 Mn 0.0000 0.0000 0.0000
2 Co 0.7500 0.7500 0.7500
3 Te 0.5000 0.5000 0.5000

(9)
The following is a theoretical powder XRD pattern of ThMn2Co3. It was derived from DFT lattice parameters and positions (GGA-PBE), using a wavelength of 1.5418 Å.
Lines closer than 0.1° are merged.

Largest 12 diffraction maxima, low angle first, 2θ from 10° to 80°:
20.05°, I 21.0; 22.78°, I 11.4; 30.53°, I 80.2; 35.10°, I 39.7; 40.76°, I 44.1; 42.26°, I 100.0; 46.52°, I 21.5; 59.59°, I 17.3; 60.16°, I 24.5; 63.54°, I 23.4; 67.89°, I 23.6; 74.19°, I 15.3

Cell and atoms:
Cell: 5.1130 5.1130 3.9041 Å, 90.00 90.00 120.00°
Sites, in units of the cell vectors:
1 Th 0.0000 0.0000 0.0000
2 Mn 0.3333 0.6667 0.0000
3 Mn 0.6667 0.3333 0.0000
4 Co 0.0000 0.5000 0.5000
5 Co 0.5000 0.0000 0.5000
6 Co 0.5000 0.5000 0.5000

(10)
The following is a theoretical powder XRD pattern of ThMnCo4. It was derived from DFT lattice parameters and positions (GGA-PBE), using a wavelength of 1.5418 Å.
Lines closer than 0.1° are merged.

Largest 12 diffraction maxima, low angle first, 2θ from 10° to 80°:
20.40°, I 18.9; 22.21°, I 12.8; 30.33°, I 78.1; 35.72°, I 39.0; 41.48°, I 40.5; 42.46°, I 100.0; 45.32°, I 23.5; 58.99°, I 18.3; 60.86°, I 22.7; 63.10°, I 23.1; 68.80°, I 23.1; 75.66°, I 14.5

Cell and atoms:
Cell: 5.0280 5.0280 4.0024 Å, 90.00 90.00 120.00°
Sites, in units of the cell vectors:
1 Th 0.0000 0.0000 0.0000
2 Mn 0.3333 0.6667 0.0000
3 Co 0.5028 0.0055 0.5000
4 Co 0.5028 0.4972 0.5000
5 Co 0.6667 0.3333 0.0000
6 Co 0.9945 0.4972 0.5000

(11)
The following is a theoretical powder XRD pattern of Ti2MnCo. It was derived from DFT lattice parameters and positions (GGA-PBE), using a wavelength of 1.5418 Å.
Lines closer than 0.1° are merged.

Largest 5 diffraction maxima, low angle first, 2θ from 10° to 80°:
30.10°, I 1.7; 43.09°, I 100.0; 62.57°, I 14.8; 70.99°, I 0.6; 78.99°, I 28.4

Cell and atoms:
Cell: 4.1988 4.1988 4.1988 Å, 60.00 60.00 60.00°
Sites, in units of the cell vectors:
1 Ti 0.2500 0.2500 0.2500
2 Ti 0.7500 0.7500 0.7500
3 Mn 0.0000 0.0000 0.0000
4 Co 0.5000 0.5000 0.5000

(12)
The following is a theoretical powder XRD pattern of Y2Mn3Co. It was derived from DFT lattice parameters and positions (GGA-PBE), using a wavelength of 1.5418 Å.
Lines closer than 0.1° are merged.

Largest 12 diffraction maxima, low angle first, 2θ from 10° to 80°:
34.33°, I 47.1; 35.06°, I 38.8; 40.53°, I 45.5; 40.85°, I 100.0; 41.49°, I 46.6; 42.53°, I 37.8; 43.76°, I 12.0; 61.95°, I 14.1; 65.91°, I 22.3; 66.37°, I 21.3; 72.34°, I 22.8; 74.09°, I 21.2

Cell and atoms:
Cell: 5.1206 5.1206 5.1206 Å, 61.35 61.35 61.35°
Sites, in units of the cell vectors:
1 Y 0.1255 0.1255 0.1255
2 Y 0.8745 0.8745 0.8745
3 Mn 0.0000 0.5000 0.5000
4 Mn 0.5000 0.0000 0.5000
5 Mn 0.5000 0.5000 0.0000
6 Co 0.5000 0.5000 0.5000